# K2MgAlSn2
Theoretical powder X-ray diffraction pattern, Cu Kα X-rays. Input: the PBE geometry in Alexandria.

Structure:
Unit cell a=6.535 b=17.740 c=6.526 alpha=90.00 beta=90.00 gamma=90.00
Space group Ibam (No. 72)
Unique sites:
K1 0.239 0.177 0.000 (multiplicity 8)
Mg1 0.000 0.000 0.250 (multiplicity 4)
Al1 0.000 0.500 0.250 (multiplicity 4)
Sn1 0.232 0.399 0.000 (multiplicity 8)

Main lines, sorted by position (2θ = 15–90°):
2θ = 20.0°, I 31.7, hkl 0 4 0
2θ = 21.7°, I 100.0, hkl 1 2 1
2θ = 27.3°, I 78.4, hkl 0 0 2
2θ = 27.9°, I 96.2, hkl 1 4 1
2θ = 34.1°, I 90.3, hkl 0 4 2
2θ = 36.1°, I 35.2, hkl 1 6 1
2θ = 39.0°, I 57.6, hkl 2 0 2
2θ = 45.1°, I 31.2, hkl 1 2 3
2θ = 45.4°, I 38.4, hkl 1 8 1
2θ = 48.6°, I 38.4, hkl 1 4 3
2θ = 61.3°, I 30.1, hkl 1 8 3
2θ = 67.5°, I 23.3, hkl 2 4 4



# KBaMn2Cl8
Theoretical powder X-ray diffraction pattern, Cu Kα X-rays. Input: the PBE geometry in Alexandria.

Structure:
Unit cell a=6.8626 b=6.8626 c=10.0620 alpha=90.00 beta=90.00 gamma=120.00
Space group P-3 (No. 147)
Unique sites:
K1 0.0000 0.0000 0.0000 (multiplicity 1)
Ba1 0.0000 0.0000 0.5000 (multiplicity 1)
Mn1 0.3333 0.6667 0.7720 (multiplicity 2)
Cl1 0.0153 0.3401 0.7066 (multiplicity 6)
Cl2 0.3333 0.6667 0.9917 (multiplicity 2)

Main lines, sorted by position (2θ = 15–90°):
2θ = 17.3°, I 100.0, hkl 0 1 1
2θ = 23.2°, I 59.7, hkl 1 0 2
2θ = 26.0°, I 38.1, hkl 1 1 0
2θ = 27.5°, I 36.8, hkl 1 1 1
2θ = 31.4°, I 18.1, hkl 2 0 1
2θ = 31.6°, I 45.1, hkl 2 -1 2
2θ = 35.1°, I 21.5, hkl 0 2 2
2θ = 41.2°, I 18.9, hkl 1 2 1
2θ = 44.2°, I 21.4, hkl 2 1 2
2θ = 44.7°, I 29.0, hkl 1 1 4
2θ = 45.8°, I 38.3, hkl 3 0 0
2θ = 59.4°, I 19.8, hkl 3 0 4



# Th4ScSe5
Theoretical powder X-ray diffraction pattern, Cu Kα X-rays. Input: the PBE geometry in Alexandria.

Structure:
Unit cell a=4.163 b=4.163 c=29.302 alpha=90.00 beta=90.00 gamma=90.00
Space group I4/mmm (No. 139)
Unique sites:
Th1 0.000 0.000 0.101 (multiplicity 4)
Th2 0.000 0.000 0.305 (multiplicity 4)
Sc1 0.000 0.000 0.500 (multiplicity 2)
Se1 0.000 0.000 0.000 (multiplicity 2)
Se2 0.000 0.000 0.203 (multiplicity 4)
Se3 0.000 0.000 0.407 (multiplicity 4)

Main lines, sorted by position (2θ = 15–90°):
2θ = 26.3°, I 44.1, hkl 1 0 5
2θ = 30.4°, I 100.0, hkl 1 1 0
2θ = 30.5°, I 45.5, hkl 0 0 10
2θ = 43.5°, I 36.7, hkl 2 0 0
2θ = 43.6°, I 69.0, hkl 1 1 10
2θ = 51.5°, I 15.3, hkl 2 1 5
2θ = 54.0°, I 36.9, hkl 2 0 10
2θ = 63.2°, I 12.2, hkl 2 2 0
2θ = 71.7°, I 17.2, hkl 3 1 0
2θ = 71.8°, I 15.9, hkl 2 2 10
2θ = 72.0°, I 13.9, hkl 1 1 20
2θ = 79.9°, I 24.0, hkl 3 1 10



# NbMo2W2
Theoretical powder X-ray diffraction pattern, Cu Kα X-rays. Input: the PBE geometry in Alexandria.

Structure:
Unit cell a=5.033 b=7.857 c=8.993 alpha=90.00 beta=98.95 gamma=90.00
Space group Cc (No. 9)
Unique sites:
Nb1 0.000 0.125 0.000 (multiplicity 4)
Mo1 0.330 0.091 0.334 (multiplicity 4)
Mo2 0.399 0.270 0.874 (multiplicity 4)
W1 0.078 0.192 0.644 (multiplicity 4)
W2 0.088 0.460 0.115 (multiplicity 4)

Main lines, sorted by position (2θ = 15–90°):
2θ = 20.0°, I 28.6, hkl 0 0 2
2θ = 24.8°, I 16.9, hkl 0 2 1
2θ = 31.2°, I 30.1, hkl 1 1 2
2θ = 36.1°, I 18.7, hkl 2 0 0
2θ = 38.1°, I 54.9, hkl 0 2 3
2θ = 38.7°, I 68.0, hkl 2 0 -2
2θ = 38.9°, I 50.7, hkl 1 3 0
2θ = 39.5°, I 100.0, hkl 1 3 -1
2θ = 40.6°, I 25.0, hkl 0 0 4
2θ = 42.7°, I 28.4, hkl 1 3 -2
2θ = 44.4°, I 22.9, hkl 2 0 2
2θ = 45.7°, I 22.6, hkl 2 2 1



# CaYAl3O7
Theoretical powder X-ray diffraction pattern, Cu Kα X-rays. Input: the PBE geometry in Alexandria.

Structure:
Unit cell a=10.970 b=10.992 c=5.099 alpha=90.00 beta=90.00 gamma=90.00
Space group Cmm2 (No. 35)
Unique sites:
Ca1 0.000 0.160 0.000 (multiplicity 4)
Y1 0.160 0.500 0.036 (multiplicity 4)
Al1 0.000 0.356 0.560 (multiplicity 4)
Al2 0.146 0.000 0.475 (multiplicity 4)
Al3 0.250 0.250 0.517 (multiplicity 4)
O1 0.000 0.000 0.337 (multiplicity 2)
O2 0.000 0.369 0.217 (multiplicity 4)
O3 0.000 0.500 0.720 (multiplicity 2)
O4 0.124 0.285 0.717 (multiplicity 8)
O5 0.154 0.000 0.816 (multiplicity 4)
O6 0.222 0.122 0.314 (multiplicity 8)

Main lines, sorted by position (2θ = 15–90°):
2θ = 16.1°, I 16.4, hkl 0 2 0
2θ = 23.8°, I 27.0, hkl 0 2 1
2θ = 28.9°, I 20.6, hkl 2 2 1
2θ = 31.2°, I 100.0, hkl 3 1 1
2θ = 36.6°, I 16.6, hkl 4 2 0
2θ = 37.1°, I 10.4, hkl 1 1 2
2θ = 39.0°, I 13.3, hkl 3 3 1
2θ = 44.1°, I 16.5, hkl 3 1 2
2θ = 46.8°, I 10.4, hkl 4 4 0
2θ = 51.7°, I 33.7, hkl 4 2 2
2θ = 60.7°, I 13.8, hkl 3 1 3
2θ = 67.5°, I 14.6, hkl 3 7 1



# CsTmAgF6
Theoretical powder X-ray diffraction pattern, Cu Kα X-rays. Input: the PBE geometry in Alexandria.

Structure:
Unit cell a=7.790 b=8.267 c=11.682 alpha=90.00 beta=90.00 gamma=90.00
Space group Imma (No. 74)
Unique sites:
Cs1 0.000 0.250 0.100 (multiplicity 4)
Tm1 0.000 0.000 0.500 (multiplicity 4)
Ag1 0.250 0.250 0.750 (multiplicity 4)
F1 0.000 0.250 0.448 (multiplicity 4)
F2 0.000 0.250 0.809 (multiplicity 4)
F3 0.203 0.041 0.620 (multiplicity 16)

Main lines, sorted by position (2θ = 15–90°):
2θ = 21.8°, I 15.5, hkl 1 1 2
2θ = 25.3°, I 31.1, hkl 0 1 3
2θ = 25.6°, I 100.0, hkl 1 2 1
2θ = 26.4°, I 60.0, hkl 0 2 2
2θ = 27.5°, I 41.2, hkl 2 0 2
2θ = 40.1°, I 14.4, hkl 0 3 3
2θ = 41.8°, I 23.4, hkl 3 0 3
2θ = 43.8°, I 13.7, hkl 0 4 0
2θ = 44.5°, I 41.5, hkl 2 2 4
2θ = 46.6°, I 15.0, hkl 4 0 0
2θ = 52.5°, I 16.3, hkl 2 4 2
2θ = 61.5°, I 10.5, hkl 2 1 7



# OsN2
Theoretical powder X-ray diffraction pattern, Cu Kα X-rays. Input: the PBE geometry in Alexandria.

Structure:
Unit cell a=4.143 b=4.952 c=2.706 alpha=90.00 beta=90.00 gamma=90.00
Space group Pnnm (No. 58)
Unique sites:
Os1 0.000 0.000 0.000 (multiplicity 2)
N1 0.127 0.404 0.000 (multiplicity 4)

Main lines, sorted by position (2θ = 15–90°):
2θ = 28.1°, I 100.0, hkl 1 1 0
2θ = 36.3°, I 34.3, hkl 0 2 0
2θ = 37.9°, I 43.1, hkl 0 1 1
2θ = 39.8°, I 58.1, hkl 1 0 1
2θ = 43.7°, I 18.5, hkl 2 0 0
2θ = 54.9°, I 40.6, hkl 1 2 1
2θ = 58.1°, I 16.2, hkl 2 2 0
2θ = 59.2°, I 30.8, hkl 2 1 1
2θ = 60.4°, I 15.0, hkl 1 3 0
2θ = 66.3°, I 11.5, hkl 0 3 1
2θ = 76.5°, I 13.0, hkl 1 1 2
2θ = 82.9°, I 12.0, hkl 2 3 1



# Na6PuF12
Theoretical powder X-ray diffraction pattern, Cu Kα X-rays. Input: the PBE geometry in Alexandria.

Structure:
Unit cell a=10.2927 b=10.2927 c=9.7895 alpha=90.00 beta=90.00 gamma=120.00
Space group R-3 (No. 148, hexagonal axes)
Unique sites:
Na1 0.0070 0.7807 0.1225 (multiplicity 18)
Pu1 0.0000 0.0000 0.5000 (multiplicity 3)
F1 0.0054 0.7868 0.8890 (multiplicity 18)
F2 0.0095 0.8420 0.3800 (multiplicity 18)

Main lines, sorted by position (2θ = 15–90°):
2θ = 17.2°, I 72.0, hkl 1 1 0
2θ = 20.7°, I 70.0, hkl 0 1 2
2θ = 21.9°, I 80.4, hkl 0 2 1
2θ = 27.1°, I 31.0, hkl 2 0 2
2θ = 28.0°, I 100.0, hkl 3 -1 1
2θ = 32.3°, I 36.4, hkl 3 -2 2
2θ = 32.5°, I 26.9, hkl 2 -1 3
2θ = 40.9°, I 25.4, hkl 4 -1 2
2θ = 41.1°, I 25.6, hkl 3 0 3
2θ = 45.8°, I 40.7, hkl 3 -1 4
2θ = 46.7°, I 41.7, hkl 4 1 0
2θ = 55.0°, I 32.8, hkl 5 -4 3



# Ce5TmBi4
Theoretical powder X-ray diffraction pattern, Cu Kα X-rays. Input: the PBE geometry in Alexandria.

Structure:
Unit cell a=10.453 b=11.181 c=5.949 alpha=90.00 beta=90.00 gamma=90.00
Space group Pmmn (No. 59, origin choice 2)
Unique sites:
Ce1 0.000 0.000 0.236 (multiplicity 8)
Ce2 0.250 0.250 0.499 (multiplicity 2)
Tm1 0.250 0.750 0.000 (multiplicity 2)
Bi1 0.070 0.250 0.999 (multiplicity 4)
Bi2 0.250 0.588 0.500 (multiplicity 4)

Main lines, sorted by position (2θ = 15–90°):
2θ = 21.8°, I 55.3, hkl 0 2 1
2θ = 22.6°, I 74.1, hkl 2 0 1
2θ = 25.4°, I 36.1, hkl 1 3 0
2θ = 26.8°, I 42.2, hkl 3 1 0
2θ = 29.5°, I 47.3, hkl 1 3 1
2θ = 32.0°, I 34.5, hkl 0 4 0
2θ = 34.1°, I 64.6, hkl 0 2 2
2θ = 34.3°, I 39.2, hkl 4 0 0
2θ = 34.7°, I 53.0, hkl 2 0 2
2θ = 38.4°, I 38.4, hkl 2 2 2
2θ = 38.5°, I 100.0, hkl 3 3 1
2θ = 58.4°, I 38.1, hkl 0 6 2



# CsMgTl2
Theoretical powder X-ray diffraction pattern, Cu Kα X-rays. Input: the PBE geometry in Alexandria.

Structure:
Unit cell a=6.569 b=5.098 c=9.363 alpha=90.00 beta=109.22 gamma=90.00
Space group P2_1/m (No. 11)
Unique sites:
Cs1 0.216 0.250 0.427 (multiplicity 2)
Mg1 0.199 0.250 0.916 (multiplicity 2)
Tl1 0.284 0.750 0.132 (multiplicity 2)
Tl2 0.382 0.750 0.805 (multiplicity 2)

Main lines, sorted by position (2θ = 15–90°):
2θ = 20.1°, I 25.4, hkl 1 0 1
2θ = 22.6°, I 26.1, hkl 1 1 0
2θ = 22.7°, I 24.8, hkl 1 1 -1
2θ = 26.6°, I 100.0, hkl 1 1 1
2θ = 27.0°, I 46.3, hkl 1 1 -2
2θ = 28.9°, I 45.4, hkl 1 0 -3
2θ = 30.3°, I 25.7, hkl 0 0 3
2θ = 33.8°, I 38.1, hkl 2 1 0
2θ = 34.2°, I 53.7, hkl 2 1 -2
2θ = 35.2°, I 46.9, hkl 0 2 0
2θ = 42.0°, I 23.0, hkl 1 1 3
2θ = 46.2°, I 25.6, hkl 1 2 -3



# Ho2Zn16Si
Theoretical powder X-ray diffraction pattern, Cu Kα X-rays. Input: the PBE geometry in Alexandria.

Structure:
Unit cell a=9.0377 b=9.0377 c=12.9416 alpha=90.00 beta=90.00 gamma=120.00
Space group R3m (No. 160, hexagonal axes)
Unique sites:
Ho1 0.0000 0.0000 0.0000 (multiplicity 3)
Ho2 0.0000 0.0000 0.3350 (multiplicity 3)
Zn1 0.0000 0.0000 0.7580 (multiplicity 3)
Zn2 0.0004 0.3080 0.6665 (multiplicity 18)
Zn3 0.0108 0.5054 0.8219 (multiplicity 9)
Zn4 0.1706 0.3411 0.5002 (multiplicity 9)
Zn5 0.1719 0.3439 0.8440 (multiplicity 9)
Si1 0.0000 0.0000 0.5631 (multiplicity 3)

Main lines, sorted by position (2θ = 15–90°):
2θ = 28.6°, I 28.6, hkl 1 1 3
2θ = 34.4°, I 34.3, hkl 3 0 0
2θ = 36.0°, I 12.8, hkl 0 2 4
2θ = 39.9°, I 46.2, hkl 2 2 0
2θ = 40.4°, I 100.0, hkl 0 3 3
2θ = 41.9°, I 41.3, hkl 0 0 6
2θ = 45.3°, I 22.9, hkl 2 2 3
2θ = 59.2°, I 16.5, hkl 2 2 6
2θ = 65.7°, I 19.0, hkl 3 3 3
2θ = 72.5°, I 18.1, hkl 6 0 0
2θ = 75.5°, I 16.7, hkl 0 3 9
2θ = 87.4°, I 15.4, hkl 6 0 6



# K2Ti2Bi2O
Theoretical powder X-ray diffraction pattern, Cu Kα X-rays. Input: the PBE geometry in Alexandria.

Structure:
Unit cell a=4.121 b=4.121 c=24.919 alpha=90.00 beta=90.00 gamma=90.00
Space group I4/mmm (No. 139)
Unique sites:
K1 0.000 0.000 0.165 (multiplicity 4)
Ti1 0.000 0.500 0.000 (multiplicity 4)
Bi1 0.000 0.000 0.414 (multiplicity 4)
O1 0.000 0.000 0.000 (multiplicity 2)

Main lines, sorted by position (2θ = 15–90°):
2θ = 21.9°, I 84.3, hkl 1 0 1
2θ = 28.1°, I 100.0, hkl 1 0 5
2θ = 30.7°, I 37.8, hkl 1 1 0
2θ = 33.3°, I 54.9, hkl 1 0 7
2θ = 34.0°, I 41.1, hkl 1 1 4
2θ = 37.7°, I 42.5, hkl 1 1 6
2θ = 43.9°, I 29.7, hkl 2 0 0
2θ = 45.7°, I 17.4, hkl 1 0 11
2θ = 49.6°, I 21.6, hkl 2 1 1
2θ = 53.0°, I 34.6, hkl 2 1 5
2θ = 56.2°, I 24.4, hkl 2 1 7
2θ = 63.6°, I 18.8, hkl 2 0 12